Record 1
The following is a calculated PXRD pattern of CoH4Rh2. It was derived from a crystal structure in Alexandria, relaxed with GGA-PBE, using Cu Kα, 1.54184 Å.
Kinematic intensities with the Lorentz-polarization factor, no thermal factor.

Largest 6 diffraction maxima, sorted by position, 10° ≤ 2θ ≤ 90°:
| 2theta | I (rel.) |
| --- | --- |
| 34.1 | 55.0 |
| 37.1 | 100.0 |
| 41.7 | 27.8 |
| 48.4 | 28.2 |
| 54.1 | 44.2 |
| 76.9 | 29.3 |

Atomic structure:
abc: 8.0517 8.0517 8.0517
angles: 20.10 20.10 20.10
Sites, in units of the cell vectors:
1 Co 0.0000 0.0000 0.0000
2 H 0.1947 0.1947 0.1947
3 H 0.3896 0.3896 0.3896
4 H 0.6104 0.6104 0.6104
5 H 0.8053 0.8053 0.8053
6 Rh 0.1054 0.1054 0.1054
7 Rh 0.8946 0.8946 0.8946

Record 2
The following is a calculated PXRD pattern of PrHgI3. It was derived from a crystal structure in Alexandria, relaxed with GGA-PBE, using Cu Kα, 1.54184 Å.
Kinematic intensities with the Lorentz-polarization factor, no thermal factor.

Largest 6 diffraction maxima, sorted by position, 10° ≤ 2θ ≤ 90°:
| 2theta | I (rel.) |
| --- | --- |
| 24.0 | 100.0 |
| 25.7 | 44.6 |
| 27.7 | 73.3 |
| 27.8 | 47.9 |
| 33.0 | 52.0 |
| 45.3 | 41.9 |

Atomic structure:
abc: 11.2273 11.2273 7.9686
angles: 90.13 90.13 77.58
Sites, in units of the cell vectors:
1 Pr 0.1698 0.3302 0.0848
2 Pr 0.3302 0.1698 0.5848
3 Pr 0.6698 0.8302 0.4152
4 Pr 0.8302 0.6698 0.9152
5 Hg 0.2194 0.7806 0.2500
6 Hg 0.2813 0.7187 0.7500
7 Hg 0.7187 0.2813 0.2500
8 Hg 0.7806 0.2194 0.7500
9 I 0.0384 0.4618 0.7603
10 I 0.0929 0.1666 0.3714
11 I 0.1666 0.0929 0.8714
12 I 0.3334 0.4072 0.3730
13 I 0.4072 0.3334 0.8730
14 I 0.4618 0.0384 0.2603
15 I 0.5382 0.9616 0.7397
16 I 0.5928 0.6666 0.1270
17 I 0.6666 0.5928 0.6270
18 I 0.8334 0.9071 0.1286
19 I 0.9071 0.8334 0.6286
20 I 0.9616 0.5382 0.2397

Record 3
The following is a calculated PXRD pattern of AcZnCd2Rh2. It was derived from a crystal structure in Alexandria, relaxed with GGA-PBE, using Cu Kα, 1.54184 Å.
Kinematic intensities with the Lorentz-polarization factor, no thermal factor.

Largest 6 diffraction maxima, sorted by position, 10° ≤ 2θ ≤ 90°:
| 2theta | I (rel.) |
| --- | --- |
| 23.4 | 34.1 |
| 29.2 | 50.9 |
| 33.3 | 100.0 |
| 35.0 | 42.4 |
| 47.8 | 35.9 |
| 49.0 | 64.3 |

Atomic structure:
abc: 6.3897 6.3897 6.3897
angles: 130.16 130.16 73.15
Sites, in units of the cell vectors:
1 Ac 0.0000 0.0000 0.0000
2 Zn 0.5000 0.5000 0.0000
3 Cd 0.2500 0.7500 0.5000
4 Cd 0.7500 0.2500 0.5000
5 Rh 0.2632 0.2632 0.0000
6 Rh 0.7368 0.7368 0.0000

Record 4
The following is a calculated PXRD pattern of LaPr8Nd3. It was derived from a crystal structure in Alexandria, relaxed with GGA-PBE, using Cu Kα, 1.54184 Å.
Kinematic intensities with the Lorentz-polarization factor, no thermal factor.

Largest 6 diffraction maxima, sorted by position, 10° ≤ 2θ ≤ 90°:
| 2theta | I (rel.) |
| --- | --- |
| 28.1 | 32.5 |
| 29.6 | 50.8 |
| 30.3 | 100.0 |
| 32.7 | 82.2 |
| 48.9 | 38.0 |
| 58.2 | 37.6 |

Atomic structure:
abc: 3.7287 9.8530 12.2545
angles: 83.48 81.31 79.17
Sites, in units of the cell vectors:
1 La 0.0000 0.0000 0.0000
2 Pr 0.1142 0.5285 0.2486
3 Pr 0.2224 0.0554 0.5000
4 Pr 0.2245 0.8053 0.7482
5 Pr 0.3328 0.3338 0.0002
6 Pr 0.5552 0.3896 0.4995
7 Pr 0.6665 0.6661 0.0007
8 Pr 0.7820 0.1941 0.2477
9 Pr 0.8917 0.4715 0.7484
10 Nd 0.4479 0.8608 0.2485
11 Nd 0.5582 0.1387 0.7483
12 Nd 0.8888 0.7231 0.4988

Record 5
The following is a calculated PXRD pattern of KMg2TaCo. It was derived from a crystal structure in Alexandria, relaxed with GGA-PBE, using Cu Kα, 1.54184 Å.
Kinematic intensities with the Lorentz-polarization factor, no thermal factor.

Largest 6 diffraction maxima, sorted by position, 10° ≤ 2θ ≤ 90°:
| 2theta | I (rel.) |
| --- | --- |
| 17.4 | 100.0 |
| 24.6 | 59.3 |
| 31.6 | 51.5 |
| 35.1 | 49.5 |
| 39.5 | 44.0 |
| 53.9 | 33.5 |

Atomic structure:
abc: 5.1087 5.1087 4.5648
angles: 90.00 90.00 90.00
Sites, in units of the cell vectors:
1 K 0.0000 0.0000 0.0000
2 Mg 0.0000 0.5000 0.5000
3 Mg 0.5000 0.0000 0.5000
4 Ta 0.5000 0.5000 0.0000
5 Co 0.5000 0.5000 0.5000

Record 6
The following is a calculated PXRD pattern of TmPu3Al8. It was derived from a crystal structure in Alexandria, relaxed with GGA-PBE, using Cu Kα, 1.54184 Å.
Kinematic intensities with the Lorentz-polarization factor, no thermal factor.

Largest 6 diffraction maxima, sorted by position, 10° ≤ 2θ ≤ 90°:
| 2theta | I (rel.) |
| --- | --- |
| 18.4 | 54.3 |
| 21.0 | 64.5 |
| 32.1 | 82.9 |
| 35.9 | 100.0 |
| 38.3 | 42.3 |
| 59.7 | 45.9 |

Atomic structure:
abc: 5.5768 5.5768 8.7577
angles: 90.00 90.00 120.00
Sites, in units of the cell vectors:
1 Tm 0.0000 0.0000 0.0000
2 Pu 0.0000 0.0000 0.3627
3 Pu 0.6667 0.3333 0.5192
4 Pu 0.6667 0.3333 0.8331
5 Al 0.1609 0.3218 0.6807
6 Al 0.1609 0.8391 0.6807
7 Al 0.3333 0.6667 0.4272
8 Al 0.3333 0.6667 0.9256
9 Al 0.5059 0.0118 0.1766
10 Al 0.5059 0.4941 0.1766
11 Al 0.6782 0.8391 0.6807
12 Al 0.9882 0.4941 0.1766